# 1
Diffraction record for Sc3In3PdPt. The X-ray powder pattern is calculated, not measured: it uses a GGA-PBE-relaxed structure and Cu Kα, 1.54184 Å.
Lines closer than 0.1° are merged.

```
8
Lattice="7.5261 0.0000 0.0000 -3.7631 6.5178 0.0000 0.0000 0.0000 3.3724" Properties=species:S:1:pos:R:3 pbc="T T T"
Sc -2.1570 4.8750 0.0000
Sc 0.6196 2.2123 0.0000
Sc 1.5373 5.9483 0.0000
In 2.8539 0.6490 1.6862
In 2.8982 3.7217 1.6862
In 5.5371 2.1470 1.6862
Pd 0.0000 0.0000 1.6862
Pt 0.0000 4.3452 1.6862
```

The 6 most intense peaks (2θ = 10–90°), low angle first:
2θ (°), Rel. int.
26.43, 53
35.75, 85
36.47, 100
38.41, 60
45.60, 63
72.07, 34

---

# 2
Diffraction record for BaSiAg2Te2Se2. The X-ray powder pattern is calculated, not measured: it uses a GGA-PBE-relaxed structure and Cu Kα, 1.54184 Å.
Lines closer than 0.1° are merged.

```
8
Lattice="5.6601 -3.6858 0.0000 5.6601 3.6858 0.0000 -4.6989 0.0000 5.6759" Properties=species:S:1:pos:R:3 pbc="T T T"
Ba 0.0000 0.0000 0.0000
Si 3.3106 -0.2607 2.8379
Ag -0.6348 -0.0784 4.1862
Ag 7.2560 -0.0784 1.4896
Te 3.1903 1.3116 0.8526
Te 3.4309 1.3116 4.8233
Se 1.3911 -1.5218 3.0266
Se 5.2301 -1.5218 2.6492
```

The 6 most intense peaks (2θ = 10–90°), low angle first:
2θ (°), Rel. int.
26.50, 85
26.82, 100
28.84, 55
29.06, 39
34.42, 72
48.52, 31

---

# 3
Diffraction record for Tb2Ni7. The X-ray powder pattern is calculated, not measured: it uses a GGA-PBE-relaxed structure and Cu Kα, 1.54184 Å.
Lines closer than 0.1° are merged.

```
36
Lattice="4.9247 0.0000 0.0000 -2.4624 4.2649 0.0000 0.0000 0.0000 24.1244" Properties=species:S:1:pos:R:3 pbc="T T T"
Tb 0.0000 2.8433 0.7138
Tb 0.0000 2.8433 4.2044
Tb 0.0000 2.8433 7.8578
Tb 0.0000 2.8433 11.3484
Tb 2.4624 1.4216 12.7760
Tb 2.4624 1.4216 16.2666
Tb 2.4624 1.4216 19.9201
Tb 2.4624 1.4216 23.4107
Ni 0.0000 0.0000 0.0000
Ni 0.0000 0.0000 4.0446
Ni 0.0000 0.0000 8.0176
Ni 0.0000 0.0000 12.0622
Ni 0.0000 0.0000 16.1068
Ni 0.0000 0.0000 20.0798
Ni 0.0000 1.4246 14.1331
Ni 0.0000 1.4232 18.0933
Ni 0.0000 1.4246 22.0535
Ni -1.2286 3.5526 14.1331
Ni -1.2299 3.5534 18.0933
Ni -1.2286 3.5526 22.0535
Ni 0.0000 2.8433 16.1076
Ni 0.0000 2.8433 20.0790
Ni 1.2337 0.7123 2.0709
Ni 1.2325 0.7116 6.0311
Ni 1.2337 0.7123 9.9913
Ni 1.2286 3.5526 14.1331
Ni 1.2299 3.5534 18.0933
Ni 1.2286 3.5526 22.0535
Ni 2.4624 1.4216 4.0454
Ni 2.4624 1.4216 8.0168
Ni 3.6910 0.7123 2.0709
Ni 3.6922 0.7116 6.0311
Ni 3.6910 0.7123 9.9913
Ni 2.4624 2.8403 2.0709
Ni 2.4624 2.8418 6.0311
Ni 2.4624 2.8403 9.9913
```

The 6 most intense peaks (2θ = 10–90°), low angle first:
2θ (°), Rel. int.
33.43, 67
36.49, 53
42.56, 32
43.08, 100
46.56, 23
70.22, 26

---

# 4
Diffraction record for DyY2Ni2B2N3. The X-ray powder pattern is calculated, not measured: it uses a GGA-PBE-relaxed structure and Cu Kα, 1.54184 Å.
Lines closer than 0.1° are merged.

```
10
Lattice="-1.7388 1.7388 10.0418 1.7388 -1.7388 10.0418 1.7388 1.7388 -10.0418" Properties=species:S:1:pos:R:3 pbc="T T T"
Dy 0.0000 0.0000 0.0000
Y 0.0000 0.0000 7.5678
Y 0.0000 0.0000 12.5157
Ni 1.7388 0.0000 5.0209
Ni 0.0000 1.7388 5.0209
B 0.0000 0.0000 3.8055
B 0.0000 0.0000 16.2780
N 0.0000 0.0000 2.3464
N 0.0000 0.0000 10.0418
N 0.0000 0.0000 17.7371
```

The 6 most intense peaks (2θ = 10–90°), low angle first:
2θ (°), Rel. int.
28.93, 100
34.10, 86
35.77, 62
37.66, 79
45.79, 43
52.64, 44

---

Number 2 is which compound?
BaSiAg2Te2Se2